# 1
Structure and theoretical XRD peak list of AsAu10 (a crystal structure in OQMD, relaxed with GGA-PBE; Cu Ka).

The 10 most intense peaks (2θ from 5° to 70°), low angle first:
2θ/deg, I_rel, h k l
5.65, 100, 0 0 2
35.83, 69, 1 1 -9
38.02, 30, 1 1 -10
38.72, 64, 3 1 3
39.50, 15, 3 1 4
40.02, 23, 2 0 12
42.67, 15, 2 0 13
43.80, 21, 4 0 -6
46.04, 27, 0 2 0
65.40, 13, 4 2 -6

Atomic structure:
```
data_AsAu10
_chemical_formula_sum 'As4 Au40'
_symmetry_space_group_name_H-M 'C 1 2/m 1'
_symmetry_Int_Tables_number 12
_cell_length_a 8.9932
_cell_length_b 3.9447
_cell_length_c 31.2900
_cell_angle_alpha 90.00
_cell_angle_beta 90.17
_cell_angle_gamma 90.00
loop_
_symmetry_equiv_pos_as_xyz
'x,y,z'
'-x,-y,-z'
'-x,y,-z'
'x,-y,z'
'x+1/2,y+1/2,z'
'-x+1/2,-y+1/2,-z'
'-x+1/2,y+1/2,-z'
'x+1/2,-y+1/2,z'
loop_
_atom_site_label
_atom_site_type_symbol
_atom_site_fract_x
_atom_site_fract_y
_atom_site_fract_z
As1 As 0.1761 0.0000 0.3278
Au1 Au 0.0440 0.5000 0.2757
Au2 Au 0.0496 0.0000 0.1118
Au3 Au 0.0498 0.5000 0.9519
Au4 Au 0.0522 0.0000 0.7908
Au5 Au 0.1381 0.0000 0.6866
Au6 Au 0.1485 0.5000 0.1762
Au7 Au 0.1503 0.0000 0.0161
Au8 Au 0.1510 0.5000 0.8542
Au9 Au 0.2452 0.0000 0.2417
Au10 Au 0.2496 0.0000 0.9193
```

# 2
Structure and theoretical XRD peak list of BaOsO3 (a crystal structure in OQMD, relaxed with GGA-PBE; Cu Ka).

The 7 most intense peaks (2θ from 5° to 70°), low angle first:
2θ/deg, I_rel, h k l
22.05, 7, 0 1 2
31.38, 100, 1 1 0
44.97, 27, 0 2 4
50.63, 3, 1 1 6
55.86, 40, 3 0 0
65.49, 17, 2 0 8
69.99, 1, 3 1 2

Atomic structure:
```
data_BaOsO3
_chemical_formula_sum 'Ba6 Os6 O18'
_symmetry_space_group_name_H-M 'R -3 c'
_symmetry_Int_Tables_number 167
_symmetry_space_group_name_Hall '-R 3 2"c'
_cell_length_a 5.7031
_cell_length_b 5.7031
_cell_length_c 13.9558
_cell_angle_alpha 90.00
_cell_angle_beta 90.00
_cell_angle_gamma 120.00
loop_
_atom_site_label
_atom_site_type_symbol
_atom_site_fract_x
_atom_site_fract_y
_atom_site_fract_z
Ba1 Ba 0.0000 0.0000 0.2500
Os1 Os 0.0000 0.0000 0.0000
O1 O 0.0000 0.4868 0.2500
```

# 3
Structure and theoretical XRD peak list of CuAg4 (a crystal structure in OQMD, relaxed with GGA-PBE; Cu Ka).

The 10 most intense peaks (2θ from 5° to 70°), low angle first:
2θ/deg, I_rel, h k l
26.04, 1, 1 1 0
29.52, 1, 1 1 -1
38.33, 100, 1 1 2
44.30, 16, 1 0 -3
44.46, 16, 3 0 1
44.91, 16, 0 2 0
64.52, 5, 4 0 -2
64.61, 5, 2 0 4
64.91, 10, 1 2 -3
65.04, 10, 3 2 1

Atomic structure:
```
data_CuAg4
_chemical_formula_sum 'Cu2 Ag8'
_symmetry_space_group_name_H-M 'P 1 2/m 1'
_symmetry_Int_Tables_number 10
_cell_length_a 6.4482
_cell_length_b 4.0371
_cell_length_c 6.4615
_cell_angle_alpha 90.00
_cell_angle_beta 90.18
_cell_angle_gamma 90.00
loop_
_symmetry_equiv_pos_as_xyz
'x,y,z'
'-x,-y,-z'
'-x,y,-z'
'x,-y,z'
loop_
_atom_site_label
_atom_site_type_symbol
_atom_site_fract_x
_atom_site_fract_y
_atom_site_fract_z
Cu1 Cu 0.0967 0.0000 0.1910
Ag1 Ag 0.0000 0.5000 0.5000
Ag2 Ag 0.1910 0.5000 0.9019
Ag3 Ag 0.2924 0.0000 0.5965
Ag4 Ag 0.3931 0.5000 0.2968
Ag5 Ag 0.5000 0.0000 0.0000
```

# 4
Structure and theoretical XRD peak list of K2Rb2Ge2Au7 (a crystal structure in OQMD, relaxed with GGA-PBE; Cu Ka).

The 10 most intense peaks (2θ from 5° to 70°), low angle first:
2θ/deg, I_rel, h k l
16.59, 94, 0 1 2
18.69, 51, 0 0 6
29.49, 27, 0 1 8
31.67, 57, 2 0 2
32.86, 56, 1 1 6
33.54, 100, 0 2 4
40.25, 30, 2 0 8
47.33, 24, 2 1 7
51.28, 24, 0 3 6
55.21, 48, 2 2 0

Atomic structure:
```
data_K2Rb2Ge2Au7
_chemical_formula_sum 'K6 Rb6 Ge6 Au21'
_symmetry_space_group_name_H-M 'R -3 m'
_symmetry_Int_Tables_number 166
_symmetry_space_group_name_Hall '-R 3 2"'
_cell_length_a 6.6580
_cell_length_b 6.6580
_cell_length_c 28.4793
_cell_angle_alpha 90.00
_cell_angle_beta 90.00
_cell_angle_gamma 120.00
loop_
_atom_site_label
_atom_site_type_symbol
_atom_site_fract_x
_atom_site_fract_y
_atom_site_fract_z
K1 K 0.0000 0.0000 0.1882
Rb1 Rb 0.0000 0.0000 0.3156
Ge1 Ge 0.0000 0.0000 0.4547
Au1 Au 0.0000 0.0000 0.0000
Au2 Au 0.0497 0.5249 0.7480
```

# 5
Structure and theoretical XRD peak list of Rb3CoH5 (a crystal structure in OQMD, relaxed with GGA-PBE; Cu Ka).

The 10 most intense peaks (2θ from 5° to 70°), low angle first:
2θ/deg, I_rel, h k l
26.95, 46, 2 1 1
27.86, 100, 2 0 2
31.26, 29, 0 0 4
32.78, 24, 2 2 0
35.04, 26, 2 1 3
45.93, 18, 2 2 4
49.27, 14, 4 1 1
53.58, 15, 2 0 6
54.56, 10, 4 1 3
62.85, 12, 4 2 4

Atomic structure:
```
data_Rb3CoH5
_chemical_formula_sum 'Rb12 Co4 H20'
_symmetry_space_group_name_H-M 'I 4/m c m'
_symmetry_Int_Tables_number 140
_symmetry_space_group_name_Hall '-I 4 2c'
_cell_length_a 7.7265
_cell_length_b 7.7265
_cell_length_c 11.4448
_cell_angle_alpha 90.00
_cell_angle_beta 90.00
_cell_angle_gamma 90.00
loop_
_atom_site_label
_atom_site_type_symbol
_atom_site_fract_x
_atom_site_fract_y
_atom_site_fract_z
Rb1 Rb 0.0000 0.0000 0.2500
Rb2 Rb 0.1795 0.3205 0.0000
Co1 Co 0.0000 0.5000 0.2500
H1 H 0.0000 0.0000 0.0000
H2 H 0.1206 0.3794 0.3342
```

# 6
Structure and theoretical XRD peak list of PrSmBC2 (a crystal structure in OQMD, relaxed with GGA-PBE; Cu Ka).

The 10 most intense peaks (2θ from 5° to 70°), low angle first:
2θ/deg, I_rel, h k l
24.65, 46, 1 1 0
24.83, 51, 1 1 -1
32.34, 37, 0 0 2
33.29, 100, 0 2 0
33.62, 64, 1 1 1
34.04, 60, 1 1 -2
47.10, 26, 0 2 2
47.80, 36, 2 2 -1
54.65, 13, 3 1 -2
60.27, 16, 3 1 -3

Atomic structure:
```
data_PrSmBC2
_chemical_formula_sum 'Pr2 Sm2 B2 C4'
_symmetry_space_group_name_H-M 'C 1 m 1'
_symmetry_Int_Tables_number 8
_cell_length_a 5.3828
_cell_length_b 5.3820
_cell_length_c 6.1156
_cell_angle_alpha 90.00
_cell_angle_beta 115.14
_cell_angle_gamma 90.00
loop_
_symmetry_equiv_pos_as_xyz
'x,y,z'
'x,-y,z'
'x+1/2,y+1/2,z'
'x+1/2,-y+1/2,z'
loop_
_atom_site_label
_atom_site_type_symbol
_atom_site_fract_x
_atom_site_fract_y
_atom_site_fract_z
Pr1 Pr 0.0000 0.0000 0.0000
Sm1 Sm 0.2977 0.0000 0.5826
B1 B 0.1455 0.5000 0.2855
C1 C 0.0094 0.5000 0.0169
C2 C 0.2827 0.5000 0.5545
```

# 7
Structure and theoretical XRD peak list of Mg3Zn2W2 (a crystal structure in OQMD, relaxed with GGA-PBE; Cu Ka).

The 10 most intense peaks (2θ from 5° to 70°), low angle first:
2θ/deg, I_rel, h k l
11.89, 100, 0 0 3
23.37, 11, 1 0 1
23.91, 9, 0 0 6
24.39, 10, 0 1 2
30.60, 21, 0 1 5
39.85, 47, 0 1 8
40.45, 48, 1 1 0
42.31, 28, 1 1 3
50.81, 11, 0 1 11
58.08, 15, 2 0 8

Atomic structure:
```
data_Mg3Zn2W2
_chemical_formula_sum 'Mg9 Zn6 W6'
_symmetry_space_group_name_H-M 'R 3 m'
_symmetry_Int_Tables_number 160
_symmetry_space_group_name_Hall 'R 3 -2"'
_cell_length_a 4.4596
_cell_length_b 4.4596
_cell_length_c 22.3299
_cell_angle_alpha 90.00
_cell_angle_beta 90.00
_cell_angle_gamma 120.00
loop_
_atom_site_label
_atom_site_type_symbol
_atom_site_fract_x
_atom_site_fract_y
_atom_site_fract_z
Mg1 Mg 0.0000 0.0000 0.0000
Mg2 Mg 0.0000 0.0000 0.2503
Mg3 Mg 0.0000 0.0000 0.5096
Zn1 Zn 0.0000 0.0000 0.1212
Zn2 Zn 0.0000 0.0000 0.6347
W1 W 0.0000 0.0000 0.3860
W2 W 0.0000 0.0000 0.7508
```

# 8
Structure and theoretical XRD peak list of SmGdInFe2 (a crystal structure in OQMD, relaxed with GGA-PBE; Cu Ka).

The 10 most intense peaks (2θ from 5° to 70°), low angle first:
2θ/deg, I_rel, h k l
30.46, 44, 0 1 3
32.88, 100, 1 1 1
33.96, 85, 1 0 4
37.78, 28, 1 1 3
40.27, 30, 0 1 5
44.47, 26, 2 0 0
47.89, 21, 0 2 0
54.86, 18, 2 1 3
60.00, 32, 1 2 4
61.53, 16, 2 1 5

Atomic structure:
```
data_SmGdInFe2
_chemical_formula_sum 'Sm2 Gd2 In2 Fe4'
_symmetry_space_group_name_H-M 'A m m 2'
_symmetry_Int_Tables_number 38
_cell_length_a 4.0747
_cell_length_b 3.7987
_cell_length_c 13.8634
_cell_angle_alpha 90.00
_cell_angle_beta 90.00
_cell_angle_gamma 90.00
loop_
_symmetry_equiv_pos_as_xyz
'x,y,z'
'-x,-y,z'
'-x,y,z'
'x,-y,z'
'x,y+1/2,z+1/2'
'-x,-y+1/2,z+1/2'
'-x,y+1/2,z+1/2'
'x,-y+1/2,z+1/2'
loop_
_atom_site_label
_atom_site_type_symbol
_atom_site_fract_x
_atom_site_fract_y
_atom_site_fract_z
Sm1 Sm 0.0000 0.0000 0.0000
Gd1 Gd 0.0000 0.0000 0.2737
In1 In 0.5000 0.0000 0.6379
Fe1 Fe 0.5000 0.0000 0.4256
Fe2 Fe 0.5000 0.0000 0.8452
```